For Tm2Mn17C3, a PBE-relaxed structure gives the simulated powder diffraction line list in this record (Cu Kα, 1.54184 Å).
Intensities are scaled so that the largest is 1000.

Top 10 peaks for 2θ from 5° to 70°, by angle:
- d = 2.954 Å, 30.26 deg, intensity 575, hkl 1 1 2
- d = 2.627 Å, 34.13 deg, intensity 237, hkl 2 1 1
- d = 2.444 Å, 36.77 deg, intensity 402, hkl 3 0 0
- d = 2.199 Å, 41.04 deg, intensity 461, hkl 2 0 3
- d = 2.117 Å, 42.72 deg, intensity 806, hkl 2 2 0
- d = 2.102 Å, 43.02 deg, intensity 1000, hkl 3 0 2
- d = 2.062 Å, 43.92 deg, intensity 364, hkl 0 0 4
- d = 1.952 Å, 46.53 deg, intensity 237, hkl 2 1 3
- d = 1.492 Å, 62.24 deg, intensity 290, hkl 4 1 2
- d = 1.477 Å, 62.93 deg, intensity 224, hkl 2 2 4

Structure:
a b c (Å): 8.467 8.467 8.246
angles (deg): 90.00 90.00 120.00
Positions (direct):
Tm: 0.000 0.000 0.250
Tm: 0.000 0.000 0.750
Tm: 0.333 0.667 0.250
Tm: 0.667 0.333 0.750
Mn: 0.000 0.500 0.000
Mn: 0.000 0.500 0.500
Mn: 0.059 0.389 0.750
Mn: 0.059 0.671 0.750
Mn: 0.170 0.341 0.025
Mn: 0.170 0.341 0.475
Mn: 0.170 0.830 0.025
Mn: 0.170 0.830 0.475
Mn: 0.329 0.389 0.750
Mn: 0.329 0.941 0.750
Mn: 0.333 0.667 0.606
Mn: 0.333 0.667 0.894
Mn: 0.341 0.170 0.525
Mn: 0.341 0.170 0.975
Mn: 0.389 0.059 0.250
Mn: 0.389 0.329 0.250
Mn: 0.500 0.000 0.000
Mn: 0.500 0.000 0.500
Mn: 0.500 0.500 0.000
Mn: 0.500 0.500 0.500
Mn: 0.611 0.671 0.750
Mn: 0.611 0.941 0.750
Mn: 0.659 0.830 0.025
Mn: 0.659 0.830 0.475
Mn: 0.667 0.333 0.106
Mn: 0.667 0.333 0.394
Mn: 0.671 0.059 0.250
Mn: 0.671 0.611 0.250
Mn: 0.830 0.170 0.525
Mn: 0.830 0.170 0.975
Mn: 0.830 0.659 0.525
Mn: 0.830 0.659 0.975
Mn: 0.941 0.329 0.250
Mn: 0.941 0.611 0.250
C: 0.165 0.329 0.250
C: 0.165 0.835 0.250
C: 0.329 0.165 0.750
C: 0.671 0.835 0.250
C: 0.835 0.165 0.750
C: 0.835 0.671 0.750